Starting from a crystal structure in the Materials Project, relaxed with PBE+U, the PXRD pattern of Li3Co2Ni2O8 was simulated for Cu Kα, 1.54184 Å.
Lines closer than 0.1° are merged.

Structural model:
Cell: 5.6793 5.7380 5.7696 Å, 60.55 60.78 61.06°
Element x y z (fractional)
Li1 0.0000 0.0000 0.0000
Li2 0.0000 0.5000 0.5000
Li3 0.5000 0.0000 0.5000
Co1 0.0000 0.5000 0.0000
Co2 0.5000 0.5000 0.0000
Ni1 0.5000 0.0000 0.0000
Ni2 0.5000 0.5000 0.5000
O1 0.2452 0.2748 0.7575
O2 0.2561 0.7202 0.7834
O3 0.2588 0.2761 0.2121
O4 0.2914 0.7238 0.2314
O5 0.7086 0.2762 0.7686
O6 0.7412 0.7239 0.7879
O7 0.7439 0.2798 0.2166
O8 0.7548 0.7252 0.2425

Main lines, sorted by position (10 to 80 degrees two-theta):
| 2θ/deg | Rel. int. |
| --- | --- |
| 18.7 | 100.0 |
| 18.9 | 44.8 |
| 19.1 | 32.6 |
| 36.3 | 17.2 |
| 36.4 | 12.2 |
| 36.6 | 13.1 |
| 44.1 | 37.9 |
| 44.5 | 37.0 |
| 44.8 | 36.3 |
| 64.2 | 19.9 |

***

Starting from a crystal structure in the Materials Project, relaxed with PBE+U, the PXRD pattern of Rb3NiF6 was simulated for Cu Kα, 1.54184 Å.
Lines closer than 0.1° are merged.

Structural model:
Cell: 6.4112 6.4112 6.4112 Å, 60.00 60.00 60.00°
Element x y z (fractional)
Rb1 0.0000 0.0000 0.0000
Rb2 0.2500 0.2500 0.2500
Rb3 0.7500 0.7500 0.7500
Ni1 0.5000 0.5000 0.5000
F1 0.2901 0.2901 0.7099
F2 0.2901 0.7099 0.2901
F3 0.2901 0.7099 0.7099
F4 0.7099 0.2901 0.2901
F5 0.7099 0.2901 0.7099
F6 0.7099 0.7099 0.2901

Main lines, sorted by position (10 to 80 degrees two-theta):
| 2θ/deg | Rel. int. |
| --- | --- |
| 27.8 | 100.0 |
| 34.3 | 7.0 |
| 39.8 | 38.8 |
| 43.5 | 2.7 |
| 49.2 | 36.2 |
| 52.4 | 1.5 |
| 57.5 | 22.3 |
| 65.1 | 20.9 |
| 72.2 | 6.7 |
| 79.0 | 22.0 |

***

Starting from a crystal structure in the Materials Project, relaxed with PBE+U, the PXRD pattern of Ba2V2O5 was simulated for Cu Kα, 1.54184 Å.
Lines closer than 0.1° are merged.

Structural model:
Cell: 4.0312 8.0993 9.2348 Å, 115.93 90.01 90.06°
Element x y z (fractional)
Ba1 0.0000 0.0000 0.0000
Ba2 0.0018 0.4981 0.9983
Ba3 0.0042 0.2491 0.4996
Ba4 0.9971 0.7483 0.4995
V1 0.4884 0.8679 0.2385
V2 0.4909 0.6305 0.7609
V3 0.5117 0.3679 0.2380
V4 0.5125 0.1292 0.7593
O1 0.0071 0.6106 0.7265
O2 0.0076 0.8842 0.2706
O3 0.4935 0.2480 0.9987
O4 0.4981 0.8630 0.7296
O5 0.4991 0.6328 0.2679
O6 0.5001 0.1325 0.2675
O7 0.5010 0.3620 0.7288
O8 0.5057 0.7476 0.9984
O9 0.9919 0.1119 0.7274
O10 0.9920 0.3839 0.2702

Main lines, sorted by position (10 to 80 degrees two-theta):
| 2θ/deg | Rel. int. |
| --- | --- |
| 30.9 | 100.0 |
| 30.9 | 33.2 |
| 31.3 | 52.3 |
| 38.2 | 36.7 |
| 43.6 | 19.4 |
| 44.8 | 18.9 |
| 45.0 | 18.5 |
| 54.6 | 22.3 |
| 55.4 | 18.5 |
| 55.5 | 18.2 |